For CoH5CNCl2O2, a cell relaxed with PBE+U gives the computed X-ray diffraction stick pattern in this record (a wavelength of 1.5418 Å).

Cell and atoms:
Lattice parameters (Å, degrees): 6.7668 6.7668 6.8069 99.71 99.71 112.27
Fractional positions:
Co 0.0000 0.0000 0.0000
Co 0.0000 0.0000 0.5000
H 0.2564 0.7145 0.1195
H 0.2650 0.5066 0.2288
H 0.2855 0.7436 0.3805
H 0.3268 0.6732 0.7500
H 0.4934 0.7350 0.2712
H 0.5066 0.2650 0.7288
H 0.6732 0.3268 0.2500
H 0.7145 0.2564 0.6195
H 0.7350 0.4934 0.7712
H 0.7436 0.2855 0.8805
C 0.2287 0.7713 0.7500
C 0.7713 0.2287 0.2500
N 0.3244 0.6756 0.2500
N 0.6756 0.3244 0.7500
Cl 0.1926 0.2776 0.8288
Cl 0.2776 0.1926 0.3288
Cl 0.7224 0.8074 0.6712
Cl 0.8074 0.7224 0.1712
O 0.1686 0.8120 0.9137
O 0.1880 0.8314 0.5863
O 0.8120 0.1686 0.4137
O 0.8314 0.1880 0.0863

Main lines, sorted by position (2θ = 10–80°):
2θ (°)  Rel. int.
14.63  1000
15.77  455
29.20  96
31.85  150
34.54  336
34.80  160
35.01  171
40.26  255
45.93  112
50.82  98